Entry 1:
Diffraction record for DyHfCSe. The powder diffractogram is calculated, not measured: it uses a DFT-relaxed cell (PBE, OQMD) and a wavelength of 1.5418 Å.
No peak broadening, texture or thermal motion is included.

Structural model:
```
data_DyHfCSe
_space_group_name_H-M_alt 'P -3 m 1'
_space_group_IT_number 164
_space_group_name_Hall '-P 3 2"'
_cell_length_a 3.5733
_cell_length_b 3.5733
_cell_length_c 12.9732
_cell_angle_alpha 90.00
_cell_angle_beta 90.00
_cell_angle_gamma 120.00
loop_
_atom_site_label
_atom_site_fract_x
_atom_site_fract_y
_atom_site_fract_z
Dy1 0.3333 0.6667 0.1036
Hf1 0.3333 0.6667 0.4102
C1 0.0000 0.0000 0.0000
C2 0.0000 0.0000 0.5000
Se1 0.3333 0.6667 0.7321
```

Most intense lines, 2θ from 10° to 90°, in order of rising 2θ:
2θ 28.85, rel. 28, hkl 1 0 0; 2θ 29.68, rel. 13, hkl 0 1 1; 2θ 35.68, rel. 100, hkl 0 1 3; 2θ 41.78, rel. 10, hkl 0 0 6; 2θ 51.12, rel. 27, hkl 1 1 0; 2θ 63.90, rel. 18, hkl 2 0 3; 2θ 68.08, rel. 15, hkl 1 1 6; 2θ 86.12, rel. 17, hkl 1 2 3

---

Entry 2:
Diffraction record for DyHfTlC. The powder diffractogram is calculated, not measured: it uses a DFT-relaxed cell (PBE, OQMD) and a wavelength of 1.5418 Å.
No peak broadening, texture or thermal motion is included.

Structural model:
```
data_DyHfTlC
_space_group_name_H-M_alt 'P 63 m c'
_space_group_IT_number 186
_space_group_name_Hall 'P 6c -2c'
_cell_length_a 3.4499
_cell_length_b 3.4499
_cell_length_c 15.6563
_cell_angle_alpha 90.00
_cell_angle_beta 90.00
_cell_angle_gamma 120.00
loop_
_atom_site_label
_atom_site_fract_x
_atom_site_fract_y
_atom_site_fract_z
Dy1 0.3333 0.6667 0.0000
Hf1 0.3333 0.6667 0.6659
Tl1 0.3333 0.6667 0.3292
C1 0.0000 0.0000 0.0972
```

Most intense lines, 2θ from 10° to 90°, in order of rising 2θ:
2θ 29.91, rel. 22, hkl 1 0 0; 2θ 34.37, rel. 22, hkl 0 0 6; 2θ 34.59, rel. 100, hkl 1 0 3; 2θ 46.19, rel. 16, hkl 1 0 6; 2θ 53.09, rel. 21, hkl 1 1 0; 2θ 61.70, rel. 19, hkl 1 0 9; 2θ 64.79, rel. 21, hkl 1 1 6; 2θ 64.93, rel. 16, hkl 2 0 3

---

Entry 3:
Diffraction record for Dy4HgC2S. The powder diffractogram is calculated, not measured: it uses a DFT-relaxed cell (PBE, OQMD) and a wavelength of 1.5418 Å.
No peak broadening, texture or thermal motion is included.

Structural model:
```
data_Dy4HgC2S
_space_group_name_H-M_alt 'P -6 m 2'
_space_group_IT_number 187
_space_group_name_Hall 'P -6 2'
_cell_length_a 3.6653
_cell_length_b 3.6653
_cell_length_c 14.2592
_cell_angle_alpha 90.00
_cell_angle_beta 90.00
_cell_angle_gamma 120.00
loop_
_atom_site_label
_atom_site_fract_x
_atom_site_fract_y
_atom_site_fract_z
Dy1 0.0000 0.0000 0.1311
Dy2 0.6667 0.3333 0.3198
Hg1 0.0000 0.0000 0.5000
C1 0.3333 0.6667 0.2277
S1 0.6667 0.3333 0.0000
```

Most intense lines, 2θ from 10° to 90°, in order of rising 2θ:
2θ 28.11, rel. 33, hkl 1 0 0; 2θ 30.84, rel. 25, hkl 1 0 2; 2θ 31.37, rel. 15, hkl 0 0 5; 2θ 33.96, rel. 100, hkl 1 0 3; 2θ 49.75, rel. 29, hkl 1 1 0; 2θ 59.48, rel. 20, hkl 1 0 8; 2θ 61.61, rel. 18, hkl 2 0 3; 2θ 83.02, rel. 16, hkl 2 1 3

---

Entry 4:
Diffraction record for Dy2Ho2CI5. The powder diffractogram is calculated, not measured: it uses a DFT-relaxed cell (PBE, OQMD) and a wavelength of 1.5418 Å.
No peak broadening, texture or thermal motion is included.

Structural model:
```
data_Dy2Ho2CI5
_space_group_name_H-M_alt 'C 1 2/m 1'
_space_group_IT_number 12
_space_group_name_Hall '-C 2y'
_cell_length_a 19.1165
_cell_length_b 3.9541
_cell_length_c 8.5719
_cell_angle_alpha 90.00
_cell_angle_beta 102.51
_cell_angle_gamma 90.00
loop_
_atom_site_label
_atom_site_fract_x
_atom_site_fract_y
_atom_site_fract_z
Dy1 0.0006 0.0000 0.3108
Ho1 0.1280 0.5000 0.5634
C1 0.0000 0.5000 0.5000
I1 0.0000 0.5000 0.0000
I2 0.1625 0.0000 0.8389
I3 0.1666 0.0000 0.3224
```

Most intense lines, 2θ from 10° to 90°, in order of rising 2θ:
2θ 10.57, rel. 33, hkl 0 0 1; 2θ 28.70, rel. 42, hkl 6 0 0; 2θ 29.96, rel. 23, hkl 3 1 1; 2θ 30.77, rel. 100, hkl 1 1 -2; 2θ 33.02, rel. 38, hkl 5 1 0; 2θ 42.45, rel. 24, hkl 5 1 2; 2θ 42.69, rel. 23, hkl 7 1 -2; 2θ 45.90, rel. 19, hkl 0 2 0

---

Entry 5:
Diffraction record for DyHoMo2C3. The powder diffractogram is calculated, not measured: it uses a DFT-relaxed cell (PBE, OQMD) and a wavelength of 1.5418 Å.
No peak broadening, texture or thermal motion is included.

Structural model:
```
data_DyHoMo2C3
_space_group_name_H-M_alt 'C 1 m 1'
_space_group_IT_number 8
_space_group_name_Hall 'C -2y'
_cell_length_a 11.3143
_cell_length_b 3.3858
_cell_length_c 5.6912
_cell_angle_alpha 90.00
_cell_angle_beta 107.89
_cell_angle_gamma 90.00
loop_
_atom_site_label
_atom_site_fract_x
_atom_site_fract_y
_atom_site_fract_z
Dy1 0.0000 0.0000 0.0000
Ho1 0.2722 0.5000 0.3590
Mo1 0.0361 0.5000 0.5528
Mo2 0.2364 0.0000 0.8055
C1 0.1158 0.0000 0.4371
C2 0.1576 0.5000 0.9220
C3 0.3860 0.0000 0.6779
```

Most intense lines, 2θ from 10° to 90°, in order of rising 2θ:
2θ 26.69, rel. 16, hkl 2 0 1; 2θ 32.11, rel. 45, hkl 2 0 -2; 2θ 33.28, rel. 43, hkl 4 0 0; 2θ 33.59, rel. 100, hkl 1 1 1; 2θ 36.77, rel. 86, hkl 3 1 -1; 2θ 41.68, rel. 23, hkl 2 0 2; 2θ 54.18, rel. 16, hkl 0 2 0; 2θ 64.41, rel. 15, hkl 2 2 -2

---

Entry 6:
Diffraction record for DyHoCN2O2. The powder diffractogram is calculated, not measured: it uses a DFT-relaxed cell (PBE, OQMD) and a wavelength of 1.5418 Å.
No peak broadening, texture or thermal motion is included.

Structural model:
```
data_DyHoCN2O2
_space_group_name_H-M_alt 'P 3 m 1'
_space_group_IT_number 156
_space_group_name_Hall 'P 3 -2"'
_cell_length_a 3.6923
_cell_length_b 3.6923
_cell_length_c 8.1293
_cell_angle_alpha 90.00
_cell_angle_beta 90.00
_cell_angle_gamma 120.00
loop_
_atom_site_label
_atom_site_fract_x
_atom_site_fract_y
_atom_site_fract_z
Dy1 0.0000 0.0000 0.0000
Ho1 0.3333 0.6667 0.3540
C1 0.6667 0.3333 0.6767
N1 0.6667 0.3333 0.5250
N2 0.6667 0.3333 0.8287
O1 0.0000 0.0000 0.2812
O2 0.3333 0.6667 0.0753
```

Most intense lines, 2θ from 10° to 90°, in order of rising 2θ:
2θ 10.88, rel. 51, hkl 0 0 1; 2θ 30.03, rel. 100, hkl 0 1 1; 2θ 33.06, rel. 19, hkl 0 0 3; 2θ 35.73, rel. 44, hkl 1 0 2; 2θ 43.79, rel. 20, hkl 0 1 3; 2θ 49.36, rel. 28, hkl 1 1 0; 2θ 53.42, rel. 25, hkl 0 1 4; 2θ 60.70, rel. 20, hkl 1 1 3

---

Entry 7:
Diffraction record for DyHoPbC. The powder diffractogram is calculated, not measured: it uses a DFT-relaxed cell (PBE, OQMD) and a wavelength of 1.5418 Å.
No peak broadening, texture or thermal motion is included.

Structural model:
```
data_DyHoPbC
_space_group_name_H-M_alt 'P -6 m 2'
_space_group_IT_number 187
_space_group_name_Hall 'P -6 2'
_cell_length_a 3.6296
_cell_length_b 3.6296
_cell_length_c 16.0952
_cell_angle_alpha 90.00
_cell_angle_beta 90.00
_cell_angle_gamma 120.00
loop_
_atom_site_label
_atom_site_fract_x
_atom_site_fract_y
_atom_site_fract_z
Dy1 0.0000 0.0000 0.1675
Ho1 0.6667 0.3333 0.3325
Pb1 0.0000 0.0000 0.5000
Pb2 0.6667 0.3333 0.0000
C1 0.3333 0.6667 0.2501
```

Most intense lines, 2θ from 10° to 90°, in order of rising 2θ:
2θ 28.39, rel. 22, hkl 1 0 0; 2θ 33.03, rel. 100, hkl 1 0 3; 2θ 33.40, rel. 21, hkl 0 0 6; 2θ 44.40, rel. 16, hkl 1 0 6; 2θ 50.28, rel. 21, hkl 1 1 0; 2θ 59.47, rel. 19, hkl 1 0 9; 2θ 61.48, rel. 17, hkl 2 0 3; 2θ 61.71, rel. 22, hkl 1 1 6

---

Entry 8:
Diffraction record for DyHo3Tl2C2. The powder diffractogram is calculated, not measured: it uses a DFT-relaxed cell (PBE, OQMD) and a wavelength of 1.5418 Å.
No peak broadening, texture or thermal motion is included.

Structural model:
```
data_DyHo3Tl2C2
_space_group_name_H-M_alt 'P 3 m 1'
_space_group_IT_number 156
_space_group_name_Hall 'P 3 -2"'
_cell_length_a 3.6007
_cell_length_b 3.6007
_cell_length_c 16.2422
_cell_angle_alpha 90.00
_cell_angle_beta 90.00
_cell_angle_gamma 120.00
loop_
_atom_site_label
_atom_site_fract_x
_atom_site_fract_y
_atom_site_fract_z
Dy1 0.0000 0.0000 0.0000
Ho1 0.0000 0.0000 0.3350
Ho2 0.3333 0.6667 0.5000
Ho3 0.3333 0.6667 0.8342
Tl1 0.0000 0.0000 0.6672
Tl2 0.3333 0.6667 0.1679
C1 0.6667 0.3333 0.4174
C2 0.6667 0.3333 0.9169
```

Most intense lines, 2θ from 10° to 90°, in order of rising 2θ:
2θ 28.63, rel. 18, hkl 1 0 0; 2θ 33.14, rel. 100, hkl 0 0 6; 2θ 44.31, rel. 13, hkl 1 0 6; 2θ 50.71, rel. 17, hkl 1 1 0; 2θ 59.15, rel. 16, hkl 1 0 9; 2θ 61.91, rel. 32, hkl 1 1 6; 2θ 81.60, rel. 6, hkl 2 0 9; 2θ 84.04, rel. 12, hkl 2 1 3

---

What did the eighth record say?
Diffraction record for DyHo3Tl2C2. The powder diffractogram is calculated, not measured: it uses a DFT-relaxed cell (PBE, OQMD) and a wavelength of 1.5418 Å.
No peak broadening, texture or thermal motion is included.

Structural model:
```
data_DyHo3Tl2C2
_space_group_name_H-M_alt 'P 3 m 1'
_space_group_IT_number 156
_space_group_name_Hall 'P 3 -2"'
_cell_length_a 3.6007
_cell_length_b 3.6007
_cell_length_c 16.2422
_cell_angle_alpha 90.00
_cell_angle_beta 90.00
_cell_angle_gamma 120.00
loop_
_atom_site_label
_atom_site_fract_x
_atom_site_fract_y
_atom_site_fract_z
Dy1 0.0000 0.0000 0.0000
Ho1 0.0000 0.0000 0.3350
Ho2 0.3333 0.6667 0.5000
Ho3 0.3333 0.6667 0.8342
Tl1 0.0000 0.0000 0.6672
Tl2 0.3333 0.6667 0.1679
C1 0.6667 0.3333 0.4174
C2 0.6667 0.3333 0.9169
```

Most intense lines, 2θ from 10° to 90°, in order of rising 2θ:
2θ 28.63, rel. 18, hkl 1 0 0; 2θ 33.14, rel. 100, hkl 0 0 6; 2θ 44.31, rel. 13, hkl 1 0 6; 2θ 50.71, rel. 17, hkl 1 1 0; 2θ 59.15, rel. 16, hkl 1 0 9; 2θ 61.91, rel. 32, hkl 1 1 6; 2θ 81.60, rel. 6, hkl 2 0 9; 2θ 84.04, rel. 12, hkl 2 1 3